This entry pairs a crystal structure of HoTlRuO6 with its theoretical X-ray powder pattern. Radiation: Cu Kα, 1.54184 Å. Structure: a cell relaxed with PBE.

Most intense lines, 2θ from 10° to 90°, sorted by position:
2theta	I/Imax	(hkl)
26.69	100.0	1 0 1
32.54	46.3	1 1 0
38.45	7.7	0 0 2
42.57	28.6	2 0 1
51.23	37.8	2 -1 2
54.58	28.2	3 -1 1
58.06	14.3	3 0 0
62.63	9.2	1 0 3
71.81	9.1	3 0 2
74.60	11.3	3 1 1
81.07	9.5	2 2 2
81.62	9.0	2 1 3

Cell and atoms:
Cell: 5.5035 5.5035 4.6824 Å, 90.00 90.00 120.00°
Space group P312 (No. 149)
Asymmetric unit:
Ho1 0.0000 0.0000 0.0000 (multiplicity 1)
Tl1 0.6667 0.3333 0.5000 (multiplicity 1)
Ru1 0.3333 0.6667 0.0000 (multiplicity 1)
O1 0.0459 0.3711 0.2344 (multiplicity 6)